LaTiAgO4: theoretical powder diffraction line list (Cu Kα X-rays), based on a structure optimized by DFT (GGA-PBE).

Peak list (10 most intense, 2θ from 5° to 70°, sorted by position)
(hkl)	d_spacing	2θ/deg	I (rel.)
1 0 1	3.614	24.63	15
1 0 3	2.889	30.95	100
1 1 0	2.651	33.82	57
1 1 2	2.470	36.38	10
0 0 6	2.267	39.76	16
1 1 4	2.091	43.28	18
2 0 0	1.874	48.57	29
1 1 6	1.723	53.14	24
2 1 3	1.572	58.72	32
2 0 6	1.445	64.51	14

Cell and atoms:
Cell: 3.749 3.749 13.602 Å, 90.00 90.00 90.00°
Element x y z (fractional)
La: 0.250 0.250 0.107
La: 0.750 0.750 0.893
Ti: 0.250 0.250 0.728
Ti: 0.750 0.750 0.272
Ag: 0.250 0.250 0.422
Ag: 0.750 0.750 0.578
O: 0.250 0.250 0.596
O: 0.250 0.250 0.932
O: 0.250 0.750 0.233
O: 0.250 0.750 0.767
O: 0.750 0.250 0.233
O: 0.750 0.250 0.767
O: 0.750 0.750 0.068
O: 0.750 0.750 0.404